1.
PuAlGa4: simulated X-ray powder pattern (Cu Kα X-rays), based on the PBE geometry in Alexandria.
Neutral-atom scattering factors, no anomalous dispersion.

Structural model:
abc: 6.3549 6.3549 4.4993
angles: 90.00 90.00 141.09
Atoms (fractional coordinates):
Pu (0.0000, 0.0000, 0.0000)
Al (0.5000, 0.5000, 0.5000)
Ga (0.1664, 0.8336, 0.5000)
Ga (0.3193, 0.6807, 0.0000)
Ga (0.6807, 0.3193, 0.0000)
Ga (0.8336, 0.1664, 0.5000)

Largest 6 diffraction maxima, by angle, 2θ from 5° to 70°:
| two_theta | Rel. int. |
| --- | --- |
| 19.73 | 16 |
| 22.27 | 27 |
| 24.75 | 15 |
| 36.83 | 100 |
| 40.08 | 20 |
| 42.72 | 17 |

2.
PuAl2Ga2: simulated X-ray powder pattern (Cu Kα X-rays), based on the PBE geometry in Alexandria.
Neutral-atom scattering factors, no anomalous dispersion.

Structural model:
abc: 7.9116 7.9116 7.9116
angles: 148.44 133.01 57.71
Atoms (fractional coordinates):
Pu (0.3659, 0.1159, 0.2500)
Pu (0.6341, 0.8841, 0.7500)
Al (0.0000, 0.5000, 0.5000)
Al (0.1464, 0.8964, 0.2500)
Al (0.5000, 0.5000, 0.0000)
Al (0.8536, 0.1036, 0.7500)
Ga (0.1636, 0.6964, 0.4672)
Ga (0.2708, 0.3036, 0.9672)
Ga (0.7292, 0.6964, 0.0328)
Ga (0.8364, 0.3036, 0.5328)

Largest 6 diffraction maxima, by angle, 2θ from 5° to 70°:
| two_theta | Rel. int. |
| --- | --- |
| 15.43 | 42 |
| 23.87 | 43 |
| 28.22 | 92 |
| 35.89 | 68 |
| 38.63 | 100 |
| 40.48 | 37 |

3.
PuAl3Ga3: simulated X-ray powder pattern (Cu Kα X-rays), based on the PBE geometry in Alexandria.
Neutral-atom scattering factors, no anomalous dispersion.

Structural model:
abc: 8.1139 8.1139 8.1139
angles: 90.00 90.00 90.00
Atoms (fractional coordinates):
Pu (0.0235, 0.4765, 0.5235)
Pu (0.4765, 0.5235, 0.0235)
Pu (0.5235, 0.0235, 0.4765)
Pu (0.9765, 0.9765, 0.9765)
Al (0.1307, 0.6307, 0.8693)
Al (0.1381, 0.8619, 0.3619)
Al (0.1867, 0.1867, 0.1867)
Al (0.3133, 0.8133, 0.6867)
Al (0.3619, 0.1381, 0.8619)
Al (0.3693, 0.3693, 0.3693)
Al (0.6307, 0.8693, 0.1307)
Al (0.6381, 0.6381, 0.6381)
Al (0.6867, 0.3133, 0.8133)
Al (0.8133, 0.6867, 0.3133)
Al (0.8619, 0.3619, 0.1381)
Al (0.8693, 0.1307, 0.6307)
Ga (0.0729, 0.3160, 0.8721)
Ga (0.1279, 0.5729, 0.1840)
Ga (0.1840, 0.1279, 0.5729)
Ga (0.3160, 0.8721, 0.0729)
Ga (0.3721, 0.4271, 0.6840)
Ga (0.4271, 0.6840, 0.3721)
Ga (0.5729, 0.1840, 0.1279)
Ga (0.6279, 0.9271, 0.8160)
Ga (0.6840, 0.3721, 0.4271)
Ga (0.8160, 0.6279, 0.9271)
Ga (0.8721, 0.0729, 0.3160)
Ga (0.9271, 0.8160, 0.6279)

Largest 6 diffraction maxima, by angle, 2θ from 5° to 70°:
| two_theta | Rel. int. |
| --- | --- |
| 18.94 | 52 |
| 21.91 | 39 |
| 31.18 | 36 |
| 34.97 | 31 |
| 36.74 | 100 |
| 40.07 | 21 |

4.
Pu3Al9Ga2: simulated X-ray powder pattern (Cu Kα X-rays), based on the PBE geometry in Alexandria.
Neutral-atom scattering factors, no anomalous dispersion.

Structural model:
abc: 8.2315 8.2315 8.2315
angles: 149.18 104.36 83.87
Atoms (fractional coordinates):
Pu (0.0000, 0.0000, 0.0000)
Pu (0.3061, 0.3061, 0.0000)
Pu (0.6939, 0.6939, 0.0000)
Al (0.0250, 0.6527, 0.3723)
Al (0.1301, 0.8556, 0.2746)
Al (0.2803, 0.6527, 0.6277)
Al (0.4190, 0.1444, 0.2746)
Al (0.5000, 0.0000, 0.5000)
Al (0.5810, 0.8556, 0.7254)
Al (0.7197, 0.3473, 0.3723)
Al (0.8699, 0.1444, 0.7254)
Al (0.9750, 0.3473, 0.6277)
Ga (0.3075, 0.5000, 0.8075)
Ga (0.6925, 0.5000, 0.1925)

Largest 6 diffraction maxima, by angle, 2θ from 5° to 70°:
| two_theta | Rel. int. |
| --- | --- |
| 17.57 | 44 |
| 22.15 | 81 |
| 23.51 | 44 |
| 33.60 | 33 |
| 34.54 | 41 |
| 34.92 | 100 |

5.
PuAlGaRu: simulated X-ray powder pattern (Cu Kα X-rays), based on the PBE geometry in Alexandria.
Neutral-atom scattering factors, no anomalous dispersion.

Structural model:
abc: 5.4223 5.4223 5.4223
angles: 46.83 46.83 46.83
Atoms (fractional coordinates):
Pu (0.0000, 0.0000, 0.0000)
Al (0.7885, 0.7885, 0.7885)
Ga (0.2122, 0.2122, 0.2122)
Ru (0.4517, 0.4517, 0.4517)

Largest 6 diffraction maxima, by angle, 2θ from 5° to 70°:
| two_theta | Rel. int. |
| --- | --- |
| 24.64 | 57 |
| 26.89 | 81 |
| 34.55 | 100 |
| 39.43 | 66 |
| 41.93 | 90 |
| 50.52 | 27 |

6.
Rb4AlGa5: simulated X-ray powder pattern (Cu Kα X-rays), based on the PBE geometry in Alexandria.
Neutral-atom scattering factors, no anomalous dispersion.

Structural model:
abc: 8.4134 8.4134 10.4238
angles: 128.02 128.02 44.98
Atoms (fractional coordinates):
Rb (0.1318, 0.1318, 0.4320)
Rb (0.2881, 0.3060, 0.2017)
Rb (0.6940, 0.7119, 0.7983)
Rb (0.8682, 0.8682, 0.5680)
Al (0.7889, 0.2111, 0.0000)
Ga (0.1885, 0.8115, 0.0000)
Ga (0.3475, 0.3753, 0.9058)
Ga (0.4523, 0.4514, 0.7534)
Ga (0.5486, 0.5477, 0.2466)
Ga (0.6247, 0.6525, 0.0942)

Largest 6 diffraction maxima, by angle, 2θ from 5° to 70°:
| two_theta | Rel. int. |
| --- | --- |
| 11.43 | 100 |
| 22.31 | 70 |
| 23.28 | 63 |
| 26.76 | 73 |
| 27.72 | 74 |
| 35.00 | 68 |

7.
Al6Ga12Re: simulated X-ray powder pattern (Cu Kα X-rays), based on the PBE geometry in Alexandria.
Neutral-atom scattering factors, no anomalous dispersion.

Structural model:
abc: 7.0764 7.0764 7.0764
angles: 81.93 81.93 81.93
Atoms (fractional coordinates):
Al (0.1645, 0.2039, 0.6733)
Al (0.2039, 0.6733, 0.1645)
Al (0.3267, 0.8355, 0.7961)
Al (0.6733, 0.1645, 0.2039)
Al (0.7961, 0.3267, 0.8355)
Al (0.8355, 0.7961, 0.3267)
Ga (0.0447, 0.3517, 0.1117)
Ga (0.1117, 0.0447, 0.3517)
Ga (0.1504, 0.5875, 0.5500)
Ga (0.3517, 0.1117, 0.0447)
Ga (0.4125, 0.4500, 0.8496)
Ga (0.4500, 0.8496, 0.4125)
Ga (0.5500, 0.1504, 0.5875)
Ga (0.5875, 0.5500, 0.1504)
Ga (0.6483, 0.8883, 0.9553)
Ga (0.8496, 0.4125, 0.4500)
Ga (0.8883, 0.9553, 0.6483)
Ga (0.9553, 0.6483, 0.8883)
Re (0.0000, 0.0000, 0.0000)

Largest 6 diffraction maxima, by angle, 2θ from 5° to 70°:
| two_theta | Rel. int. |
| --- | --- |
| 12.73 | 89 |
| 34.19 | 79 |
| 38.85 | 100 |
| 39.45 | 86 |
| 42.61 | 92 |
| 43.69 | 69 |

8.
Al4GaRe: simulated X-ray powder pattern (Cu Kα X-rays), based on the PBE geometry in Alexandria.
Neutral-atom scattering factors, no anomalous dispersion.

Structural model:
abc: 8.5743 7.7686 5.4981
angles: 78.48 62.60 38.93
Atoms (fractional coordinates):
Al (0.0178, 0.5398, 0.2086)
Al (0.2086, 0.7338, 0.0178)
Al (0.2662, 0.7914, 0.4602)
Al (0.4602, 0.9822, 0.2662)
Al (0.5398, 0.0178, 0.7338)
Al (0.7338, 0.2086, 0.5398)
Al (0.7914, 0.2662, 0.9822)
Al (0.9822, 0.4602, 0.7914)
Ga (0.3750, 0.3750, 0.3750)
Ga (0.6250, 0.6250, 0.6250)
Re (0.1250, 0.1250, 0.1250)
Re (0.8750, 0.8750, 0.8750)

Largest 6 diffraction maxima, by angle, 2θ from 5° to 70°:
| two_theta | Rel. int. |
| --- | --- |
| 18.96 | 44 |
| 22.74 | 100 |
| 33.10 | 72 |
| 42.37 | 51 |
| 44.43 | 82 |
| 51.79 | 40 |

9.
AlGa3Rh6: simulated X-ray powder pattern (Cu Kα X-rays), based on the PBE geometry in Alexandria.
Neutral-atom scattering factors, no anomalous dispersion.

Structural model:
abc: 7.4443 4.2986 9.2117
angles: 90.00 106.96 90.00
Atoms (fractional coordinates):
Al (0.0512, 0.2500, 0.4025)
Al (0.9488, 0.7500, 0.5975)
Ga (0.2189, 0.2500, 0.0188)
Ga (0.3667, 0.7500, 0.7940)
Ga (0.4608, 0.2500, 0.6087)
Ga (0.5392, 0.7500, 0.3913)
Ga (0.6333, 0.2500, 0.2060)
Ga (0.7811, 0.7500, 0.9812)
Rh (0.0861, 0.7500, 0.8802)
Rh (0.1385, 0.7500, 0.1857)
Rh (0.1534, 0.2500, 0.6908)
Rh (0.2467, 0.7500, 0.4989)
Rh (0.3518, 0.2500, 0.3149)
Rh (0.4588, 0.7500, 0.0949)
Rh (0.5412, 0.2500, 0.9051)
Rh (0.6482, 0.7500, 0.6851)
Rh (0.7533, 0.2500, 0.5011)
Rh (0.8466, 0.7500, 0.3092)
Rh (0.8615, 0.2500, 0.8143)
Rh (0.9139, 0.2500, 0.1198)

Largest 6 diffraction maxima, by angle, 2θ from 5° to 70°:
| two_theta | Rel. int. |
| --- | --- |
| 29.18 | 7 |
| 41.44 | 31 |
| 42.05 | 100 |
| 42.16 | 70 |
| 60.50 | 20 |
| 61.62 | 10 |

10.
AlGa2Ru2: simulated X-ray powder pattern (Cu Kα X-rays), based on the PBE geometry in Alexandria.
Neutral-atom scattering factors, no anomalous dispersion.

Structural model:
abc: 8.3559 8.3559 3.0566
angles: 90.00 90.00 159.28
Atoms (fractional coordinates):
Al (0.0000, 0.0000, 0.0000)
Ga (0.1779, 0.8221, 0.0000)
Ga (0.8221, 0.1779, 0.0000)
Ru (0.4074, 0.5926, 0.5000)
Ru (0.5926, 0.4074, 0.5000)

Largest 6 diffraction maxima, by angle, 2θ from 5° to 70°:
| two_theta | Rel. int. |
| --- | --- |
| 21.62 | 48 |
| 31.22 | 36 |
| 40.68 | 95 |
| 42.55 | 100 |
| 44.40 | 80 |
| 45.45 | 28 |

11.
Al2GaS5: simulated X-ray powder pattern (Cu Kα X-rays), based on the PBE geometry in Alexandria.
Neutral-atom scattering factors, no anomalous dispersion.

Structural model:
abc: 6.4597 6.4597 10.7813
angles: 90.00 90.00 133.90
Atoms (fractional coordinates):
Al (0.1553, 0.8447, 0.5614)
Al (0.1553, 0.8447, 0.9386)
Al (0.8447, 0.1553, 0.0614)
Al (0.8447, 0.1553, 0.4386)
Ga (0.2105, 0.7895, 0.2500)
Ga (0.7895, 0.2105, 0.7500)
S (0.0359, 0.9641, 0.1172)
S (0.0359, 0.9641, 0.3828)
S (0.2568, 0.7432, 0.7500)
S (0.3191, 0.6809, 0.0666)
S (0.3191, 0.6809, 0.4334)
S (0.6809, 0.3191, 0.5666)
S (0.6809, 0.3191, 0.9334)
S (0.7432, 0.2568, 0.2500)
S (0.9641, 0.0359, 0.6172)
S (0.9641, 0.0359, 0.8828)

Largest 6 diffraction maxima, by angle, 2θ from 5° to 70°:
| two_theta | Rel. int. |
| --- | --- |
| 14.90 | 100 |
| 19.07 | 82 |
| 20.79 | 52 |
| 35.49 | 93 |
| 39.34 | 67 |
| 54.01 | 50 |

12.
ScAlGa2S6: simulated X-ray powder pattern (Cu Kα X-rays), based on the PBE geometry in Alexandria.
Neutral-atom scattering factors, no anomalous dispersion.

Structural model:
abc: 8.0987 8.0987 6.3569
angles: 97.62 97.62 86.10
Atoms (fractional coordinates):
Sc (0.0938, 0.9062, 0.7500)
Sc (0.9062, 0.0938, 0.2500)
Al (0.2664, 0.7336, 0.2500)
Al (0.7336, 0.2664, 0.7500)
Ga (0.2293, 0.4096, 0.7055)
Ga (0.4096, 0.2293, 0.2055)
Ga (0.5904, 0.7707, 0.7945)
Ga (0.7707, 0.5904, 0.2945)
S (0.0211, 0.2100, 0.6378)
S (0.1255, 0.6342, 0.9088)
S (0.2100, 0.0211, 0.1378)
S (0.2787, 0.4592, 0.3720)
S (0.3658, 0.8745, 0.5912)
S (0.4592, 0.2787, 0.8720)
S (0.5408, 0.7213, 0.1280)
S (0.6342, 0.1255, 0.4088)
S (0.7213, 0.5408, 0.6280)
S (0.7900, 0.9789, 0.8622)
S (0.8745, 0.3658, 0.0912)
S (0.9789, 0.7900, 0.3622)

Largest 6 diffraction maxima, by angle, 2θ from 5° to 70°:
| two_theta | Rel. int. |
| --- | --- |
| 24.31 | 94 |
| 27.90 | 57 |
| 28.45 | 66 |
| 29.87 | 43 |
| 49.63 | 68 |
| 50.71 | 100 |

13.
Al4GaSb5: simulated X-ray powder pattern (Cu Kα X-rays), based on the PBE geometry in Alexandria.
Neutral-atom scattering factors, no anomalous dispersion.

Structural model:
abc: 11.6546 11.6546 11.6546
angles: 158.22 38.21 149.00
Atoms (fractional coordinates):
Al (0.0999, 0.0000, 0.0999)
Al (0.3001, 0.0000, 0.3001)
Al (0.6999, 0.0000, 0.6999)
Al (0.9001, 0.0000, 0.9001)
Ga (0.5000, 0.0000, 0.5000)
Sb (0.1503, 0.7501, 0.4002)
Sb (0.3499, 0.7501, 0.5998)
Sb (0.5501, 0.7501, 0.8000)
Sb (0.7494, 0.7494, 0.0000)
Sb (0.9502, 0.7501, 0.2000)

Largest 6 diffraction maxima, by angle, 2θ from 5° to 70°:
| two_theta | Rel. int. |
| --- | --- |
| 24.75 | 100 |
| 28.66 | 23 |
| 40.98 | 60 |
| 48.47 | 48 |
| 59.34 | 10 |
| 65.29 | 19 |